This entry pairs a crystal structure of Nd7PbBr12 with its calculated XRD peak list. Radiation: Cu Ka. Structure: a GGA-PBE-relaxed structure.

Most intense lines, 5° ≤ 2θ ≤ 70°, by angle:
- 2θ 10.5, I = 68, hkl 1 1 0
- 2θ 19.5, I = 19, hkl 2 1 1
- 2θ 26.8, I = 17, hkl 4 0 1
- 2θ 28.9, I = 25, hkl 3 2 1
- 2θ 31.4, I = 100, hkl 3 1 2
- 2θ 38.5, I = 71, hkl 2 5 0
- 2θ 50.5, I = 21, hkl 8 -6 2
- 2θ 65.3, I = 17, hkl 5 6 2

Atomic structure:
abc: 16.8541 16.8541 8.0218
angles: 90.00 90.00 120.00
Space group R-3 (No. 148, hexagonal axes)
Asymmetric unit:
Nd: 0.0000 0.0000 0.0000 [3 per cell]
Nd: 0.0502 0.1783 0.2686 [18 per cell]
Pb: 0.0000 0.0000 0.5000 [3 per cell]
Br: 0.0502 0.5982 0.1573 [18 per cell]
Br: 0.0551 0.1954 0.8771 [18 per cell]